# La2PrCo2B2O3
Computed X-ray powder pattern, Cu Kα X-rays. Input: a DFT-relaxed cell (PBE+U, OQMD).

Structure:
Cell lengths 10.327, 10.327, 10.327 Å; angles 159.69, 159.69, 28.87 degrees
Atoms (fractional coordinates):
La 0.133 0.133 0.000
La 0.867 0.867 0.000
Pr 0.500 0.500 0.000
Co 0.250 0.750 0.500
Co 0.750 0.250 0.500
B 0.298 0.298 0.000
B 0.702 0.702 0.000
O 0.000 0.000 0.000
O 0.375 0.375 0.000
O 0.625 0.625 0.000

Principal peaks in the range 2θ from 10° to 90°, in order of falling intensity:
2θ = 27.92°, d 3.195, I 100; 2θ = 33.27°, d 2.693, I 44; 2θ = 35.92°, d 2.500, I 42; 2θ = 44.46°, d 2.038, I 40; 2θ = 34.85°, d 2.574, I 38; 2θ = 50.11°, d 1.820, I 37; 2θ = 36.02°, d 2.493, I 32; 2θ = 63.18°, d 1.472, I 31; 2θ = 58.35°, d 1.581, I 31; 2θ = 39.37°, d 2.289, I 29; 2θ = 56.58°, d 1.627, I 21; 2θ = 50.91°, d 1.794, I 19